This entry pairs a crystal structure of Sb8Pb5S17 with its theoretical X-ray powder pattern. Radiation: Cu Kα. Structure: a DFT-relaxed cell (PBE, Alexandria).
Peak positions follow from Bragg's law for the DFT cell and can differ from measured ones.

Most intense lines, 2θ from 5° to 70°, low angle first:
2θ/deg	d_spacing	I (rel.)
14.44	6.136	330
21.74	4.088	520
24.29	3.664	322
25.79	3.455	322
26.81	3.326	414
27.13	3.287	1000
29.85	2.994	455
30.38	2.942	449
32.56	2.750	479
41.72	2.165	419

Structural model:
```
Sb8Pb5S17
1.0
6.817 -5.952 0.000
6.817 5.952 0.000
-5.529 0.000 20.237
Sb Pb S
16 10 34
direct
0.013 0.979 0.597
0.021 0.987 0.903
0.034 0.421 0.911
0.296 0.681 0.467
0.319 0.704 0.033
0.327 0.580 0.831
0.420 0.673 0.669
0.421 0.034 0.411
0.579 0.966 0.589
0.580 0.327 0.331
0.673 0.420 0.169
0.681 0.296 0.967
0.704 0.319 0.533
0.966 0.579 0.089
0.979 0.013 0.097
0.987 0.021 0.403
0.104 0.362 0.327
0.173 0.346 0.542
0.326 0.674 0.250
0.346 0.173 0.042
0.362 0.104 0.827
0.638 0.896 0.173
0.654 0.827 0.958
0.674 0.326 0.750
0.827 0.654 0.458
0.896 0.638 0.673
0.019 0.194 0.001
0.036 0.186 0.828
0.048 0.587 0.829
0.064 0.682 0.565
0.067 0.694 0.381
0.186 0.036 0.328
0.194 0.019 0.501
0.240 0.760 0.750
0.253 0.529 0.106
0.306 0.933 0.119
0.318 0.936 0.935
0.346 0.394 0.438
0.348 0.362 0.249
0.362 0.348 0.749
0.394 0.346 0.938
0.413 0.952 0.671
0.471 0.747 0.394
0.529 0.253 0.606
0.587 0.048 0.329
0.606 0.654 0.062
0.638 0.652 0.251
0.652 0.638 0.751
0.654 0.606 0.562
0.682 0.064 0.065
0.694 0.067 0.881
0.747 0.471 0.894
0.760 0.240 0.250
0.806 0.981 0.499
0.814 0.964 0.672
0.933 0.306 0.619
0.936 0.318 0.435
0.952 0.413 0.171
0.964 0.814 0.172
0.981 0.806 0.999
```